[1]
For ZnPtI, a DFT-relaxed cell (PBE, Alexandria) gives the calculated XRD peak list in this record (Cu Kα X-rays).
Kinematic intensities with the Lorentz-polarization factor, no thermal factor.

Peak list (10 most intense, 2θ from 10° to 90°, by angle)
2theta, intensity
18.0, 100
21.6, 95
22.6, 67
36.4, 43
37.3, 41
39.1, 68
42.7, 33
43.3, 65
53.1, 29
54.5, 52

Crystal structure
```
ZnPtI
1.0
9.8712 0.0000 0.0000
0.0000 2.4117 3.9303
0.0000 -2.4117 3.9303
Zn Pt I
2 2 2
Direct
0.0000 0.0000 0.0000
0.5000 0.0008 0.0008
0.2500 0.0005 0.0005
0.7500 0.0005 0.0005
0.2502 0.6449 0.6449
0.7498 0.6449 0.6449
```


[2]
For Ti3Cu3Te2O16, a DFT-relaxed cell (PBE, Alexandria) gives the calculated XRD peak list in this record (Cu Kα X-rays).
Kinematic intensities with the Lorentz-polarization factor, no thermal factor.

Peak list (10 most intense, 2θ from 10° to 90°, by angle)
2theta, intensity
18.6, 39
19.4, 100
19.7, 46
20.0, 95
25.3, 32
26.2, 36
33.1, 32
34.3, 49
36.1, 71
61.0, 35

Crystal structure
```
Ti3Cu3Te2O16
1.0
5.3385 -2.9373 0.0000
5.3385 2.9373 0.0000
-0.6169 0.0000 9.3455
Ti Cu Te O
3 3 2 16
Direct
0.0000 0.0000 0.0000
0.1792 0.6784 0.4907
0.6784 0.1792 0.4907
0.0039 0.5000 0.9906
0.5000 0.0039 0.9906
0.6696 0.6696 0.4858
0.1686 0.1686 0.2676
0.5236 0.5236 0.7686
0.0218 0.0218 0.3971
0.0219 0.4920 0.3800
0.1713 0.1713 0.9027
0.2173 0.6940 0.8792
0.2934 0.8640 0.1431
0.3046 0.3046 0.1228
0.3539 0.8032 0.6275
0.3749 0.3749 0.6257
0.4920 0.0219 0.3800
0.4929 0.4929 0.3844
0.6910 0.6910 0.8691
0.6940 0.2173 0.8792
0.8032 0.3539 0.6275
0.8364 0.8364 0.0770
0.8443 0.8443 0.5736
0.8640 0.2934 0.1431
```


[3]
For Nd2Ga4Sn2Pd, a DFT-relaxed cell (PBE, Alexandria) gives the calculated XRD peak list in this record (Cu Kα X-rays).
Kinematic intensities with the Lorentz-polarization factor, no thermal factor.

Peak list (10 most intense, 2θ from 10° to 90°, by angle)
2theta, intensity
27.0, 13
27.4, 24
33.4, 100
37.8, 29
39.2, 56
42.2, 20
55.6, 34
56.7, 18
67.4, 21
70.1, 15

Crystal structure
```
Nd2Ga4Sn2Pd
1.0
-3.2494 3.2494 4.7614
3.2494 -3.2494 4.7614
3.2494 3.2494 -4.7614
Nd Ga Sn Pd
2 4 2 1
Direct
0.2500 0.7500 0.5000
0.7500 0.2500 0.5000
0.2204 0.2204 0.4408
0.2204 0.7796 0.0000
0.7796 0.2204 0.0000
0.7796 0.7796 0.5592
0.2178 0.2178 0.0000
0.7822 0.7822 0.0000
0.5000 0.5000 0.0000
```


[4]
For CdIn7Hg6, a DFT-relaxed cell (PBE, Alexandria) gives the calculated XRD peak list in this record (Cu Kα X-rays).
Kinematic intensities with the Lorentz-polarization factor, no thermal factor.

Peak list (10 most intense, 2θ from 10° to 90°, by angle)
2theta, intensity
28.2, 82
29.7, 38
31.3, 35
33.0, 31
34.0, 33
34.4, 23
36.8, 100
37.1, 37
51.8, 18
57.4, 17

Crystal structure
```
CdIn7Hg6
1.0
-3.0114 10.8676 5.9296
3.0114 -10.8676 5.9296
3.0114 10.8676 -5.9296
Cd In Hg
2 14 12
Direct
0.2500 0.2500 0.0000
0.7500 0.7500 0.0000
0.0343 0.7553 0.7896
0.0988 0.0257 0.3823
0.1434 0.5257 0.9269
0.2500 0.7500 0.5000
0.3566 0.2834 0.3823
0.4012 0.7834 0.9269
0.4657 0.2553 0.7210
0.5343 0.7447 0.2790
0.5988 0.2166 0.0731
0.6434 0.7166 0.6177
0.7500 0.2500 0.5000
0.8566 0.4743 0.0731
0.9012 0.9743 0.6177
0.9657 0.2447 0.2104
0.0584 0.4494 0.1317
0.1054 0.2674 0.3728
0.1823 0.0506 0.6090
0.3177 0.9266 0.8683
0.3946 0.7674 0.1620
0.4416 0.5734 0.3910
0.5584 0.4266 0.6090
0.6054 0.2326 0.8380
0.6823 0.0734 0.1317
0.8177 0.9494 0.3910
0.8946 0.7326 0.6272
0.9416 0.5506 0.8683
```


[5]
For U2Ga3Sn3, a DFT-relaxed cell (PBE, Alexandria) gives the calculated XRD peak list in this record (Cu Kα X-rays).
Kinematic intensities with the Lorentz-polarization factor, no thermal factor.

Peak list (10 most intense, 2θ from 10° to 90°, by angle)
2theta, intensity
34.9, 100
39.7, 17
40.5, 17
41.4, 16
58.0, 12
58.7, 11
69.0, 14
70.1, 14
71.3, 13
73.7, 12

Crystal structure
```
U2Ga3Sn3
1.0
4.3668 0.0000 0.0000
0.0000 4.4550 0.0000
0.0000 0.0000 9.0736
U Ga Sn
2 3 3
Direct
0.0000 0.0000 0.2448
0.0000 0.0000 0.7552
0.5000 0.0000 0.0000
0.5000 0.5000 0.2369
0.5000 0.5000 0.7631
0.0000 0.5000 0.0000
0.0000 0.5000 0.5000
0.5000 0.0000 0.5000
```


[6]
For Hf5TiSb3, a DFT-relaxed cell (PBE, Alexandria) gives the calculated XRD peak list in this record (Cu Kα X-rays).
Kinematic intensities with the Lorentz-polarization factor, no thermal factor.

Peak list (10 most intense, 2θ from 10° to 90°, by angle)
2theta, intensity
14.5, 40
21.3, 38
29.9, 54
33.6, 54
35.0, 61
36.9, 31
37.2, 100
39.5, 37
39.6, 37
40.2, 36

Crystal structure
```
Hf5TiSb3
1.0
6.3901 -4.1718 0.0000
6.3901 4.1718 0.0000
-3.6069 0.0000 9.0533
Hf Ti Sb
10 2 6
Direct
0.0095 0.0095 0.3115
0.1710 0.8290 0.0000
0.1927 0.5626 0.2047
0.2163 0.2163 0.9351
0.4374 0.8073 0.7953
0.5626 0.1927 0.2047
0.7837 0.7837 0.0649
0.8073 0.4374 0.7953
0.8290 0.1710 0.0000
0.9905 0.9905 0.6885
0.4118 0.4118 0.7060
0.5882 0.5882 0.2940
0.1828 0.1828 0.6152
0.1925 0.1925 0.2265
0.5000 0.5000 0.0000
0.5000 0.5000 0.5000
0.8075 0.8075 0.7735
0.8172 0.8172 0.3848
```


[7]
For Li5Mg6Pd, a DFT-relaxed cell (PBE, Alexandria) gives the calculated XRD peak list in this record (Cu Kα X-rays).
Kinematic intensities with the Lorentz-polarization factor, no thermal factor.

Peak list (10 most intense, 2θ from 10° to 90°, by angle)
2theta, intensity
12.6, 55
12.7, 60
17.9, 47
20.0, 36
23.8, 41
29.9, 18
32.7, 17
37.5, 100
38.4, 23
38.5, 24

Crystal structure
```
Li5Mg6Pd
1.0
2.3357 -7.0338 0.0000
2.3357 7.0338 0.0000
0.0000 0.0000 6.9690
Li Mg Pd
5 6 1
Direct
0.0000 0.0000 0.0000
0.3274 0.6726 0.0000
0.3326 0.6674 0.5000
0.6674 0.3326 0.5000
0.6726 0.3274 0.0000
0.1594 0.8406 0.2609
0.1594 0.8406 0.7391
0.5000 0.5000 0.2702
0.5000 0.5000 0.7298
0.8406 0.1594 0.2609
0.8406 0.1594 0.7391
0.0000 0.0000 0.5000
```


[8]
For Eu2Te4O11, a DFT-relaxed cell (PBE, Alexandria) gives the calculated XRD peak list in this record (Cu Kα X-rays).
Kinematic intensities with the Lorentz-polarization factor, no thermal factor.

Peak list (10 most intense, 2θ from 10° to 90°, by angle)
2theta, intensity
25.8, 100
29.1, 31
29.3, 65
32.8, 20
33.8, 17
39.6, 15
45.2, 21
47.5, 17
47.9, 18
52.5, 14

Crystal structure
```
Eu2Te4O11
1.0
6.3269 -2.6502 0.0000
6.3269 2.6502 0.0000
-4.0774 0.0000 16.1934
Eu Te O
4 8 22
Direct
0.1282 0.6322 0.9612
0.3678 0.8718 0.5388
0.6322 0.1282 0.4612
0.8718 0.3678 0.0388
0.1506 0.5852 0.6242
0.1620 0.5988 0.3013
0.4012 0.8380 0.1987
0.4148 0.8494 0.8758
0.5852 0.1506 0.1242
0.5988 0.1620 0.8013
0.8380 0.4012 0.6987
0.8494 0.4148 0.3758
0.0383 0.8206 0.5480
0.1033 0.1947 0.1693
0.1511 0.8489 0.2500
0.1794 0.9617 0.9520
0.1868 0.3218 0.3723
0.1947 0.1033 0.6693
0.2566 0.3268 0.0521
0.3218 0.1868 0.8723
0.3268 0.2566 0.5521
0.3988 0.5543 0.3977
0.4457 0.6012 0.1023
0.5543 0.3988 0.8977
0.6012 0.4457 0.6023
0.6732 0.7434 0.4479
0.6782 0.8132 0.1277
0.7434 0.6732 0.9479
0.8053 0.8967 0.3307
0.8132 0.6782 0.6277
0.8206 0.0383 0.0480
0.8489 0.1511 0.7500
0.8967 0.8053 0.8307
0.9617 0.1794 0.4520
```